No. 1
# LiAg2F4
Calculated X-ray diffraction stick pattern, λ = 1.5418 Å (Cu Kα). Input: a structure optimized by DFT (PBE).
Intensities are scaled so that the largest is 100.

Main lines, by intensity (10 to 90 degrees two-theta):
2θ/deg, I/Imax, index
16.85, 100, 1 0 1
34.09, 88, 2 0 2
26.78, 41, 1 0 3
35.18, 40, 2 1 1
53.70, 32, 2 2 4
55.18, 25, 2 0 6

Cell and atoms:
abc: 5.8348 5.8348 12.1585
angles: 90.00 90.00 90.00
Space group I4_1/a (No. 88, origin choice 2)
One atom of each set of equivalent atoms:
Li (0.0000, 0.2500, 0.1250) x4
Ag (0.0000, 0.0000, 0.5000) x8
F (0.1904, 0.4658, 0.8979) x16

No. 2
# NaH5CO4
Calculated X-ray diffraction stick pattern, λ = 1.5418 Å (Cu Kα). Input: a structure optimized by DFT (PBE).
Intensities are scaled so that the largest is 100.

Main lines, by intensity (10 to 90 degrees two-theta):
2θ/deg, I/Imax, index
29.56, 100, 2 2 1
27.73, 97, 2 2 0
24.27, 75, 1 3 1
20.13, 73, 0 0 2
32.82, 69, 0 2 3
40.76, 66, 2 4 2

Cell and atoms:
abc: 7.1621 14.6405 8.8224
angles: 90.00 90.00 90.00
Space group Cmce (No. 64)
One atom of each set of equivalent atoms:
Na (0.2419, 0.0000, 0.0000) x8
H (0.0000, 0.0848, 0.2150) x8
H (0.0000, 0.1605, 0.0912) x8
H (0.0000, 0.2300, 0.3639) x8
H (0.1601, 0.1316, 0.7008) x16
C (0.0000, 0.1811, 0.4600) x8
O (0.0000, 0.0933, 0.1035) x8
O (0.0000, 0.0969, 0.4281) x8
O (0.0000, 0.2140, 0.5941) x8
O (0.2500, 0.0901, 0.7500) x8

No. 3
# Li6CuO4
Calculated X-ray diffraction stick pattern, λ = 1.5418 Å (Cu Kα). Input: a structure optimized by DFT (PBE).
Intensities are scaled so that the largest is 100.

Main lines, by intensity (10 to 90 degrees two-theta):
2θ/deg, I/Imax, index
23.57, 100, 1 0 1
36.05, 44, 2 1 1
18.92, 38, 1 1 0
56.07, 29, 2 2 2
33.33, 29, 2 0 1
45.54, 26, 3 0 1

Cell and atoms:
abc: 6.6333 6.6333 4.5896
angles: 90.00 90.00 90.00
Space group P4_2/nmc (No. 137, origin choice 2)
One atom of each set of equivalent atoms:
Li (0.0317, 0.5317, 0.2500) x8
Li (0.2500, 0.2500, 0.1875) x4
Cu (0.2500, 0.7500, 0.7500) x2
O (0.0176, 0.2500, 0.4473) x8

No. 4
# DyP3H6O6
Calculated X-ray diffraction stick pattern, λ = 1.5418 Å (Cu Kα). Input: a structure optimized by DFT (PBE).
Intensities are scaled so that the largest is 100.

Main lines, by intensity (10 to 90 degrees two-theta):
2θ/deg, I/Imax, index
16.72, 100, 0 0 2
13.75, 65, 2 0 0
14.97, 56, 2 0 -2
26.25, 54, 1 1 2
23.46, 44, 4 0 -2
36.67, 31, 3 1 2

Cell and atoms:
abc: 15.2088 5.8167 12.5148
angles: 90.00 122.10 90.00
Space group C2/m (No. 12)
One atom of each set of equivalent atoms:
Dy (0.0000, 0.0000, 0.0000) x2
Dy (0.0000, 0.0000, 0.5000) x2
P (0.0869, 0.5000, 0.2083) x4
P (0.1557, 0.0000, 0.8514) x4
P (0.1713, 0.5000, 0.5833) x4
H (0.0024, 0.5000, 0.2261) x4
H (0.1761, 0.5000, 0.3314) x4
H (0.2037, 0.5000, 0.7123) x4
H (0.2224, 0.1913, 0.8795) x8
H (0.2344, 0.0000, 0.4134) x4
O (0.0739, 0.0000, 0.7114) x4
O (0.0860, 0.2770, 0.1444) x8
O (0.1141, 0.2767, 0.5230) x8
O (0.1189, 0.0000, 0.9433) x4